For Cs2Li2PmCl6, a DFT-relaxed cell (PBE, Alexandria) gives the computed X-ray diffraction stick pattern in this record (Cu Kα (weighted mean of Kα1 and Kα2)).
Neutral-atom scattering factors, no anomalous dispersion.

Main lines, by angle (10 to 90 degrees two-theta):
2θ (°)  d/Å  Rel. int.
17.88  4.961  100
24.36  3.653  44
26.38  3.379  44
30.38  2.942  72
33.23  2.696  14
36.21  2.481  29
39.32  2.291  27
41.97  2.153  22
44.13  2.052  23
49.92  1.827  20

Atomic structure:
```
data_Cs2Li2PmCl6
_cell_length_a 7.3070
_cell_length_b 7.3070
_cell_length_c 7.9925
_cell_angle_alpha 90.00
_cell_angle_beta 90.00
_cell_angle_gamma 120.00
_symmetry_space_group_name_H-M 'P -3 m 1'
_symmetry_Int_Tables_number 164
_symmetry_space_group_name_Hall '-P 3 2"'
loop_
_atom_site_label
_atom_site_fract_x
_atom_site_fract_y
_atom_site_fract_z
Cs1 0.3333 0.6667 0.3712
Li1 0.3333 0.6667 0.8629
Pm1 0.0000 0.0000 0.0000
Cl1 0.1636 0.3272 0.7632
```

For CsLi2PrCl6, a DFT-relaxed cell (PBE, Alexandria) gives the computed X-ray diffraction stick pattern in this record (Cu Kα (weighted mean of Kα1 and Kα2)).
Neutral-atom scattering factors, no anomalous dispersion.

Main lines, by angle (10 to 90 degrees two-theta):
2θ (°)  d/Å  Rel. int.
10.57  8.373  25
16.68  5.316  100
20.72  4.287  66
28.42  3.140  25
31.31  2.857  26
32.34  2.768  23
34.05  2.633  74
41.34  2.184  22
43.26  2.091  21
46.43  1.956  25

Atomic structure:
```
data_CsLi2PrCl6
_cell_length_a 6.7738
_cell_length_b 6.7748
_cell_length_c 9.2379
_cell_angle_alpha 68.52
_cell_angle_beta 68.55
_cell_angle_gamma 60.02
_symmetry_space_group_name_H-M 'P -1'
_symmetry_Int_Tables_number 2
loop_
_symmetry_equiv_pos_as_xyz
'x,y,z'
'-x,-y,-z'
loop_
_atom_site_label
_atom_site_fract_x
_atom_site_fract_y
_atom_site_fract_z
Cs1 0.0000 0.0000 0.0000
Li1 0.1731 0.1716 0.4828
Pr1 0.5000 0.5000 0.5000
Cl1 0.0937 0.7888 0.6745
Cl2 0.2114 0.5567 0.3253
Cl3 0.4432 0.0941 0.6748
```

For Cs2Li2PuCl6, a DFT-relaxed cell (PBE, Alexandria) gives the computed X-ray diffraction stick pattern in this record (Cu Kα (weighted mean of Kα1 and Kα2)).
Neutral-atom scattering factors, no anomalous dispersion.

Main lines, by angle (10 to 90 degrees two-theta):
2θ (°)  d/Å  Rel. int.
13.87  6.383  100
20.97  4.236  53
23.09  3.852  73
24.28  3.665  75
31.39  2.850  71
33.77  2.654  48
39.33  2.291  22
41.30  2.186  39
43.97  2.059  33
47.19  1.926  29

Atomic structure:
```
data_Cs2Li2PuCl6
_cell_length_a 7.7039
_cell_length_b 7.7039
_cell_length_c 21.9324
_cell_angle_alpha 90.00
_cell_angle_beta 90.00
_cell_angle_gamma 120.00
_symmetry_space_group_name_H-M 'R -3 m'
_symmetry_Int_Tables_number 166
_symmetry_space_group_name_Hall '-R 3 2"'
loop_
_atom_site_label
_atom_site_fract_x
_atom_site_fract_y
_atom_site_fract_z
Cs1 0.0000 0.0000 0.2168
Li1 0.0000 0.0000 0.4176
Pu1 0.0000 0.0000 0.0000
Cl1 0.0062 0.5031 0.7508
```

For CsLi4Pu3Cl12, a DFT-relaxed cell (PBE, Alexandria) gives the computed X-ray diffraction stick pattern in this record (Cu Kα (weighted mean of Kα1 and Kα2)).
Neutral-atom scattering factors, no anomalous dispersion.

Main lines, by angle (10 to 90 degrees two-theta):
2θ (°)  d/Å  Rel. int.
11.97  7.391  69
16.35  5.420  100
20.32  4.371  34
22.30  3.986  68
30.69  2.913  69
35.91  2.501  22
36.47  2.464  21
40.21  2.243  19
43.74  2.070  25
53.22  1.721  20

Atomic structure:
```
data_CsLi4Pu3Cl12
_cell_length_a 14.7825
_cell_length_b 14.7825
_cell_length_c 10.1878
_cell_angle_alpha 90.00
_cell_angle_beta 90.00
_cell_angle_gamma 120.00
_symmetry_space_group_name_H-M 'R 3 2'
_symmetry_Int_Tables_number 155
_symmetry_space_group_name_Hall 'R 3 2"'
loop_
_atom_site_label
_atom_site_fract_x
_atom_site_fract_y
_atom_site_fract_z
Cs1 0.0000 0.0000 0.0000
Li1 0.0000 0.0000 0.5000
Li2 0.0000 0.4350 0.5000
Pu1 0.0000 0.5606 0.0000
Cl1 0.0000 0.5945 0.5000
Cl2 0.0000 0.8430 0.5000
Cl3 0.0487 0.2226 0.1839
```

For CsLi2PuCl8, a DFT-relaxed cell (PBE, Alexandria) gives the computed X-ray diffraction stick pattern in this record (Cu Kα (weighted mean of Kα1 and Kα2)).
Neutral-atom scattering factors, no anomalous dispersion.

Main lines, by angle (10 to 90 degrees two-theta):
2θ (°)  d/Å  Rel. int.
14.31  6.190  100
16.83  5.269  55
18.16  4.886  44
22.82  3.896  32
23.26  3.825  21
23.55  3.777  33
27.95  3.192  33
29.66  3.012  60
32.74  2.735  21
34.80  2.578  18

Atomic structure:
```
data_CsLi2PuCl8
_cell_length_a 6.5139
_cell_length_b 6.5201
_cell_length_c 9.7868
_cell_angle_alpha 87.48
_cell_angle_beta 87.46
_cell_angle_gamma 71.87
_symmetry_space_group_name_H-M 'P -1'
_symmetry_Int_Tables_number 2
loop_
_symmetry_equiv_pos_as_xyz
'x,y,z'
'-x,-y,-z'
loop_
_atom_site_label
_atom_site_fract_x
_atom_site_fract_y
_atom_site_fract_z
Cs1 0.0000 0.0000 0.0000
Li1 0.4992 0.4991 0.8450
Pu1 0.0000 0.0000 0.5000
Cl1 0.2269 0.7528 0.6862
Cl2 0.2326 0.2338 0.5017
Cl3 0.2482 0.7743 0.3136
Cl4 0.3341 0.3344 0.0110
```

For CsRb2LiCl4, a DFT-relaxed cell (PBE, Alexandria) gives the computed X-ray diffraction stick pattern in this record (Cu Kα (weighted mean of Kα1 and Kα2)).
Neutral-atom scattering factors, no anomalous dispersion.

Main lines, by angle (10 to 90 degrees two-theta):
2θ (°)  d/Å  Rel. int.
20.08  4.422  77
22.02  4.037  25
23.22  3.831  40
26.13  3.410  26
26.72  3.336  100
28.41  3.141  54
34.58  2.594  69
36.82  2.441  26
39.75  2.267  29
40.81  2.211  29

Atomic structure:
```
data_CsRb2LiCl4
_cell_length_a 4.5349
_cell_length_b 15.5164
_cell_length_c 16.1476
_cell_angle_alpha 90.00
_cell_angle_beta 90.00
_cell_angle_gamma 90.00
_symmetry_space_group_name_H-M 'C m c m'
_symmetry_Int_Tables_number 63
_symmetry_space_group_name_Hall '-C 2c 2'
loop_
_atom_site_label
_atom_site_fract_x
_atom_site_fract_y
_atom_site_fract_z
Cs1 0.0000 0.0996 0.2500
Rb1 0.0000 0.3634 0.0496
Li1 0.0000 0.1758 0.7500
Cl1 0.0000 0.0000 0.0000
Cl2 0.0000 0.2678 0.6335
Cl3 0.0000 0.4076 0.2500
```

For Cs3Li2ScCl8, a DFT-relaxed cell (PBE, Alexandria) gives the computed X-ray diffraction stick pattern in this record (Cu Kα (weighted mean of Kα1 and Kα2)).
Neutral-atom scattering factors, no anomalous dispersion.

Main lines, by angle (10 to 90 degrees two-theta):
2θ (°)  d/Å  Rel. int.
16.69  5.311  57
23.09  3.852  66
24.28  3.666  100
27.62  3.230  47
29.61  3.017  87
33.75  2.656  85
37.10  2.424  39
49.74  1.833  35
55.54  1.655  28
57.84  1.594  34

Atomic structure:
```
data_Cs3Li2ScCl8
_cell_length_a 7.3319
_cell_length_b 7.3319
_cell_length_c 9.6906
_cell_angle_alpha 90.00
_cell_angle_beta 90.00
_cell_angle_gamma 120.00
_symmetry_space_group_name_H-M 'P -3 m 1'
_symmetry_Int_Tables_number 164
_symmetry_space_group_name_Hall '-P 3 2"'
loop_
_atom_site_label
_atom_site_fract_x
_atom_site_fract_y
_atom_site_fract_z
Cs1 0.0000 0.0000 0.0000
Cs2 0.3333 0.6667 0.6693
Li1 0.3333 0.6667 0.2355
Sc1 0.0000 0.0000 0.5000
Cl1 0.1600 0.3201 0.3484
Cl2 0.3333 0.6667 0.0073
```

For Cs3LiSc2Cl9, a DFT-relaxed cell (PBE, Alexandria) gives the computed X-ray diffraction stick pattern in this record (Cu Kα (weighted mean of Kα1 and Kα2)).
Neutral-atom scattering factors, no anomalous dispersion.

Main lines, by angle (10 to 90 degrees two-theta):
2θ (°)  d/Å  Rel. int.
17.03  5.207  25
24.17  3.682  93
29.72  3.006  100
34.45  2.603  84
38.67  2.329  14
42.53  2.126  41
49.51  1.841  55
55.83  1.647  19
58.82  1.570  37
61.74  1.502  14

Atomic structure:
```
data_Cs3LiSc2Cl9
_cell_length_a 7.3587
_cell_length_b 7.3587
_cell_length_c 9.0314
_cell_angle_alpha 90.00
_cell_angle_beta 90.00
_cell_angle_gamma 120.00
_symmetry_space_group_name_H-M 'P -3 m 1'
_symmetry_Int_Tables_number 164
_symmetry_space_group_name_Hall '-P 3 2"'
loop_
_atom_site_label
_atom_site_fract_x
_atom_site_fract_y
_atom_site_fract_z
Cs1 0.0000 0.0000 0.0000
Cs2 0.3333 0.6667 0.6570
Li1 0.0000 0.0000 0.5000
Sc1 0.3333 0.6667 0.1699
Cl1 0.0000 0.5000 0.0000
Cl2 0.1696 0.3392 0.3260
```

For CsLiSnCl2, a DFT-relaxed cell (PBE, Alexandria) gives the computed X-ray diffraction stick pattern in this record (Cu Kα (weighted mean of Kα1 and Kα2)).
Neutral-atom scattering factors, no anomalous dispersion.

Main lines, by angle (10 to 90 degrees two-theta):
2θ (°)  d/Å  Rel. int.
16.55  5.356  27
24.05  3.700  26
29.34  3.044  100
33.46  2.678  19
34.27  2.616  35
38.28  2.351  15
41.63  2.170  13
48.65  1.872  25
57.29  1.608  14
58.36  1.581  27

Atomic structure:
```
data_CsLiSnCl2
_cell_length_a 5.2330
_cell_length_b 5.2330
_cell_length_c 5.3563
_cell_angle_alpha 90.00
_cell_angle_beta 90.00
_cell_angle_gamma 90.00
_symmetry_space_group_name_H-M 'P 4/m m m'
_symmetry_Int_Tables_number 123
_symmetry_space_group_name_Hall '-P 4 2'
loop_
_atom_site_label
_atom_site_fract_x
_atom_site_fract_y
_atom_site_fract_z
Cs1 0.0000 0.0000 0.0000
Li1 0.5000 0.5000 0.5000
Sn1 0.5000 0.5000 0.0000
Cl1 0.0000 0.5000 0.5000
```

For CsLi2TbCl6, a DFT-relaxed cell (PBE, Alexandria) gives the computed X-ray diffraction stick pattern in this record (Cu Kα (weighted mean of Kα1 and Kα2)).
Neutral-atom scattering factors, no anomalous dispersion.

Main lines, by angle (10 to 90 degrees two-theta):
2θ (°)  d/Å  Rel. int.
11.17  7.921  45
15.95  5.555  100
16.78  5.283  71
17.16  5.168  83
19.84  4.474  59
21.08  4.215  59
22.35  3.978  66
25.72  3.464  33
31.93  2.802  81
36.55  2.459  39

Atomic structure:
```
data_CsLi2TbCl6
_cell_length_a 6.7004
_cell_length_b 6.9481
_cell_length_c 8.5000
_cell_angle_alpha 89.71
_cell_angle_beta 71.04
_cell_angle_gamma 62.83
_symmetry_space_group_name_H-M 'P -1'
_symmetry_Int_Tables_number 2
loop_
_symmetry_equiv_pos_as_xyz
'x,y,z'
'-x,-y,-z'
loop_
_atom_site_label
_atom_site_fract_x
_atom_site_fract_y
_atom_site_fract_z
Cs1 0.0000 0.0000 0.0000
Li1 0.4471 0.8088 0.4152
Tb1 0.0000 0.5000 0.5000
Cl1 0.1601 0.7598 0.3389
Cl2 0.1751 0.5092 0.7357
Cl3 0.4381 0.1496 0.3369
```

For CsLi2TlCl6, a DFT-relaxed cell (PBE, Alexandria) gives the computed X-ray diffraction stick pattern in this record (Cu Kα (weighted mean of Kα1 and Kα2)).
Neutral-atom scattering factors, no anomalous dispersion.

Main lines, by angle (10 to 90 degrees two-theta):
2θ (°)  d/Å  Rel. int.
13.34  6.639  33
14.47  6.123  25
15.49  5.720  100
19.78  4.489  21
24.05  3.700  14
24.54  3.628  48
25.81  3.451  40
30.56  2.925  27
31.32  2.856  57
40.56  2.224  22

Atomic structure:
```
data_CsLi2TlCl6
_cell_length_a 7.1514
_cell_length_b 7.1569
_cell_length_c 7.5970
_cell_angle_alpha 104.82
_cell_angle_beta 104.30
_cell_angle_gamma 117.71
_symmetry_space_group_name_H-M 'P 1'
_symmetry_Int_Tables_number 1
loop_
_symmetry_equiv_pos_as_xyz
'x,y,z'
loop_
_atom_site_label
_atom_site_fract_x
_atom_site_fract_y
_atom_site_fract_z
Cs1 0.0000 0.0000 0.0000
Li1 0.2786 0.3895 0.6692
Li2 0.5142 0.7807 0.2931
Tl1 0.8172 0.5275 0.3453
Cl1 0.0817 0.5912 0.1625
Cl2 0.0863 0.5914 0.6794
Cl3 0.5024 0.5254 0.4861
Cl4 0.5056 0.5107 0.0159
Cl5 0.5705 0.0808 0.1621
Cl6 0.9606 0.9832 0.4857
```

For CsLiTmCl6, a DFT-relaxed cell (PBE, Alexandria) gives the computed X-ray diffraction stick pattern in this record (Cu Kα (weighted mean of Kα1 and Kα2)).
Neutral-atom scattering factors, no anomalous dispersion.

Main lines, by angle (10 to 90 degrees two-theta):
2θ (°)  d/Å  Rel. int.
11.24  7.870  17
15.21  5.827  22
18.86  4.705  100
18.99  4.672  50
27.27  3.270  14
28.67  3.113  13
34.91  2.570  46
35.27  2.545  17
37.53  2.396  13
46.75  1.943  19

Atomic structure:
```
data_CsLiTmCl6
_cell_length_a 6.7033
_cell_length_b 11.7856
_cell_length_c 7.8697
_cell_angle_alpha 90.00
_cell_angle_beta 90.31
_cell_angle_gamma 90.00
_symmetry_space_group_name_H-M 'C 1 2 1'
_symmetry_Int_Tables_number 5
loop_
_symmetry_equiv_pos_as_xyz
'x,y,z'
'-x,y,-z'
'x+1/2,y+1/2,z'
'-x+1/2,y+1/2,-z'
loop_
_atom_site_label
_atom_site_fract_x
_atom_site_fract_y
_atom_site_fract_z
Cs1 0.0000 0.0000 0.0000
Li1 0.0000 0.6640 0.5000
Tm1 0.0000 0.3341 0.5000
Cl1 0.1148 0.4998 0.3047
Cl2 0.1894 0.8064 0.3039
Cl3 0.1909 0.1926 0.3045
```

For CsLiY2Cl8, a DFT-relaxed cell (PBE, Alexandria) gives the computed X-ray diffraction stick pattern in this record (Cu Kα (weighted mean of Kα1 and Kα2)).
Neutral-atom scattering factors, no anomalous dispersion.

Main lines, by angle (10 to 90 degrees two-theta):
2θ (°)  d/Å  Rel. int.
16.79  5.280  24
16.90  5.247  100
19.72  4.503  47
24.86  3.581  37
27.13  3.287  30
34.61  2.591  30
34.92  2.569  54
37.90  2.374  24
40.05  2.252  19
44.87  2.020  30

Atomic structure:
```
data_CsLiY2Cl8
_cell_length_a 6.8473
_cell_length_b 8.4408
_cell_length_c 6.9827
_cell_angle_alpha 90.00
_cell_angle_beta 98.72
_cell_angle_gamma 90.00
_symmetry_space_group_name_H-M 'P 1 2/m 1'
_symmetry_Int_Tables_number 10
loop_
_symmetry_equiv_pos_as_xyz
'x,y,z'
'-x,-y,-z'
'-x,y,-z'
'x,-y,z'
loop_
_atom_site_label
_atom_site_fract_x
_atom_site_fract_y
_atom_site_fract_z
Cs1 0.0000 0.0000 0.0000
Li1 0.0000 0.5000 0.0000
Y1 0.5000 0.2625 0.5000
Cl1 0.2501 0.2990 0.1818
Cl2 0.2978 0.5000 0.6394
Cl3 0.3095 0.0000 0.6221
```